Starting from DFT lattice parameters and positions (PBE), the X-ray powder pattern of Tb2Pm5Nd2 was calculated for λ = 1.5418 Å (Cu Kα).
Kinematic intensities with the Lorentz-polarization factor, no thermal factor.

Atomic structure:
abc: 3.590 9.026 11.330
angles: 111.13 98.98 90.01
Atoms (fractional coordinates):
Tb1 0.139 0.213 0.277
Tb2 0.861 0.787 0.723
Pm1 0.089 0.801 0.182
Pm2 0.215 0.619 0.428
Pm3 0.500 0.000 0.000
Pm4 0.785 0.381 0.572
Pm5 0.911 0.199 0.818
Nd1 0.436 0.573 0.875
Nd2 0.564 0.427 0.125

Most intense lines, 2θ = 10–90°, by angle:
| d_spacing | Rel. int. | hkl |
| --- | --- | --- |
| 8.155 | 17.0 | 0 1 -1 |
| 3.190 | 47.8 | 1 0 -2 |
| 2.958 | 47.4 | 0 3 -2 |
| 2.808 | 38.1 | 0 2 2 |
| 2.791 | 100.0 | 0 1 -4 |
| 2.627 | 47.9 | 1 2 0 |
| 2.266 | 18.6 | 1 -3 0 |
| 1.795 | 12.1 | 2 0 -1 |
| 1.713 | 13.5 | 1 -4 4 |
| 1.535 | 13.3 | 2 3 -3 |